Entry 1:
Structure and theoretical powder diffraction line list of Y5Ho2Bi5 (DFT lattice parameters and positions (GGA-PBE); Cu Ka).
Peak positions follow from Bragg's law for the DFT cell and can differ from measured ones.

Structural model:
abc: 7.6356 7.6356 12.7742
angles: 110.52 110.52 33.80
Atoms (fractional coordinates):
Y (0.0000, 0.0000, 0.0000)
Y (0.1626, 0.1626, 0.5316)
Y (0.2143, 0.2143, 0.8382)
Y (0.7857, 0.7857, 0.1618)
Y (0.8374, 0.8374, 0.4684)
Ho (0.4500, 0.4500, 0.7111)
Ho (0.5500, 0.5500, 0.2889)
Bi (0.1965, 0.1965, 0.2837)
Bi (0.3817, 0.3817, 0.0665)
Bi (0.5000, 0.5000, 0.5000)
Bi (0.6183, 0.6183, 0.9335)
Bi (0.8035, 0.8035, 0.7163)

The 10 most intense peaks (15 to 90 degrees two-theta), by angle:
- 21.05°, rel. 41
- 21.43°, rel. 49
- 23.20°, rel. 69
- 28.14°, rel. 48
- 28.30°, rel. 100
- 30.01°, rel. 60
- 30.99°, rel. 75
- 31.28°, rel. 74
- 40.25°, rel. 48
- 40.64°, rel. 61

***

Entry 2:
Structure and theoretical powder diffraction line list of Y2HoBi4 (DFT lattice parameters and positions (GGA-PBE); Cu Ka).
Peak positions follow from Bragg's law for the DFT cell and can differ from measured ones.

Structural model:
abc: 6.0821 6.0821 17.1254
angles: 90.00 90.00 136.65
Atoms (fractional coordinates):
Y (0.1615, 0.8385, 0.5744)
Y (0.1615, 0.8385, 0.9256)
Y (0.8385, 0.1615, 0.0744)
Y (0.8385, 0.1615, 0.4256)
Ho (0.4451, 0.5549, 0.7500)
Ho (0.5549, 0.4451, 0.2500)
Bi (0.1458, 0.8542, 0.1228)
Bi (0.1458, 0.8542, 0.3772)
Bi (0.1534, 0.8466, 0.7500)
Bi (0.5000, 0.5000, 0.0000)
Bi (0.5000, 0.5000, 0.5000)
Bi (0.8466, 0.1534, 0.2500)
Bi (0.8542, 0.1458, 0.6228)
Bi (0.8542, 0.1458, 0.8772)

The 10 most intense peaks (15 to 90 degrees two-theta), by angle:
- 26.11°, rel. 21
- 26.45°, rel. 26
- 29.89°, rel. 54
- 30.52°, rel. 21
- 30.98°, rel. 100
- 33.85°, rel. 44
- 38.17°, rel. 20
- 40.15°, rel. 33
- 42.22°, rel. 14
- 53.27°, rel. 21